Starting from a structure optimized by DFT (PBE), the powder XRD pattern of LiFeAgTe2S was computed for Cu Kα (weighted mean of Kα1 and Kα2).

Main lines, in order of falling intensity (10 to 80 degrees two-theta):
| 2θ (°) | d (Å) | intensity |
| --- | --- | --- |
| 31.26 | 2.862 | 100 |
| 32.17 | 2.782 | 85 |
| 15.93 | 5.564 | 70 |
| 42.92 | 2.107 | 62 |
| 33.71 | 2.659 | 61 |
| 36.77 | 2.444 | 56 |
| 24.13 | 3.688 | 54 |
| 14.84 | 5.970 | 42 |
| 47.89 | 1.900 | 40 |
| 47.21 | 1.925 | 36 |

Cell and atoms:
```
12
Lattice="6.4924 -1.9254 0.0000 6.4924 1.9254 0.0000 -1.7370 0.0000 11.1286" Properties=species:S:1:pos:R:3 pbc="T T T"
Li 1.6457 0.0000 2.7550
Li 9.6020 0.0000 8.3736
Fe 6.4924 0.0000 0.0000
Fe 5.6239 0.0000 5.5643
Ag -0.2592 0.0000 8.1839
Ag 11.5070 0.0000 2.9447
Te 0.9004 0.0000 5.7252
Te 0.2979 0.0000 10.9273
Te 10.9499 0.0000 0.2012
Te 10.3473 0.0000 5.4033
S 4.4655 0.0000 8.8869
S 6.7822 0.0000 2.2416
```


Starting from a structure optimized by DFT (PBE), the powder XRD pattern of BaSrCdSbP was computed for Cu Kα (weighted mean of Kα1 and Kα2).

Main lines, in order of falling intensity (10 to 80 degrees two-theta):
| 2θ (°) | d (Å) | intensity |
| --- | --- | --- |
| 30.80 | 2.903 | 100 |
| 34.12 | 2.628 | 99 |
| 23.95 | 3.716 | 55 |
| 25.79 | 3.455 | 43 |
| 38.88 | 2.316 | 37 |
| 15.24 | 5.813 | 30 |
| 31.21 | 2.865 | 29 |
| 26.84 | 3.322 | 26 |
| 55.20 | 1.664 | 17 |
| 47.25 | 1.924 | 17 |

Cell and atoms:
```
10
Lattice="2.3160 -9.3114 0.0000 2.3160 9.3114 0.0000 0.0000 0.0000 7.4403" Properties=species:S:1:pos:R:3 pbc="T T T"
Ba 2.3160 5.7923 3.7202
Ba 2.3160 -5.7923 0.0000
Sr 2.3160 8.8986 1.5516
Sr 2.3160 -8.8986 5.2718
Cd 2.3160 1.6940 2.6924
Cd 2.3160 -1.6940 6.4125
Sb 2.3160 6.1382 7.2484
Sb 2.3160 -6.1382 3.5282
P 2.3160 0.9984 7.4317
P 2.3160 -0.9984 3.7115
```


Starting from a structure optimized by DFT (PBE), the powder XRD pattern of CdHgSBr was computed for Cu Kα (weighted mean of Kα1 and Kα2).

Main lines, in order of falling intensity (10 to 80 degrees two-theta):
| 2θ (°) | d (Å) | intensity |
| --- | --- | --- |
| 32.14 | 2.785 | 100 |
| 32.89 | 2.723 | 56 |
| 24.10 | 3.692 | 51 |
| 17.66 | 5.023 | 43 |
| 19.11 | 4.643 | 31 |
| 33.17 | 2.701 | 27 |
| 28.71 | 3.110 | 25 |
| 40.62 | 2.221 | 25 |
| 53.22 | 1.721 | 22 |
| 31.51 | 2.839 | 21 |

Cell and atoms:
```
16
Lattice="4.7378 -8.8845 0.0000 4.7378 8.8845 0.0000 0.0000 0.0000 5.4463" Properties=species:S:1:pos:R:3 pbc="T T T"
Cd 2.2907 2.5222 0.0000
Cd 2.2907 -2.5222 0.0000
Cd 7.1849 2.5222 0.0000
Cd 7.1849 -2.5222 0.0000
Hg 1.3866 0.0000 2.7232
Hg 4.7378 2.2604 2.7232
Hg 4.7378 -2.2604 2.7232
Hg 8.0891 0.0000 2.7232
S 2.3670 2.3965 2.7232
S 2.3670 -2.3965 2.7232
S 7.1087 2.3965 2.7232
S 7.1087 -2.3965 2.7232
Br 0.0000 0.0000 0.0000
Br 4.7378 4.4632 0.0000
Br 4.7378 0.0000 0.0000
Br 4.7378 -4.4632 0.0000
```